1.
This entry pairs a crystal structure of SrNb2CuClO7 with its theoretical X-ray diffraction stick pattern. Radiation: Cu Kα. Structure: the PBE geometry in Alexandria.

Structure:
```
SrNb2CuClO7
1.0
3.9501 0.0000 0.0000
0.0000 3.9501 0.0000
0.0000 0.0000 11.7076
Sr Nb Cu Cl O
1 2 1 1 7
Direct
0.0000 0.0000 0.0000 Sr
0.5000 0.5000 0.1895 Nb
0.5000 0.5000 0.8105 Nb
0.5000 0.5000 0.5000 Cu
0.0000 0.0000 0.5000 Cl
0.0000 0.5000 0.1594 O
0.0000 0.5000 0.8406 O
0.5000 0.0000 0.1594 O
0.5000 0.0000 0.8406 O
0.5000 0.5000 0.0000 O
0.5000 0.5000 0.3467 O
0.5000 0.5000 0.6533 O
```

Peak list (6 most intense, 5° ≤ 2θ ≤ 70°, sorted by position)
2θ (°)	d (Å)	intensity
7.55	11.708	83
22.51	3.950	66
27.24	3.274	81
32.04	2.793	100
32.24	2.776	87
45.95	1.975	63

2.
This entry pairs a crystal structure of Nb3TlCuCl9 with its theoretical X-ray diffraction stick pattern. Radiation: Cu Kα. Structure: the PBE geometry in Alexandria.

Structure:
```
Nb3TlCuCl9
1.0
9.4023 0.0000 0.0000
-2.5011 9.1138 0.0000
-1.0461 -5.1089 7.8864
Nb Tl Cu Cl
6 2 2 18
Direct
0.1322 0.3968 0.3424 Nb
0.1402 0.7505 0.5782 Nb
0.1418 0.5154 0.6958 Nb
0.8582 0.4846 0.3042 Nb
0.8598 0.2495 0.4218 Nb
0.8678 0.6032 0.6576 Nb
0.3445 0.9848 0.2601 Tl
0.6555 0.0152 0.7399 Tl
0.3797 0.3132 0.9515 Cu
0.6203 0.6868 0.0485 Cu
0.0004 0.2238 0.6401 Cl
0.9996 0.7762 0.3599 Cl
0.0088 0.9157 0.7738 Cl
0.0128 0.6412 0.9173 Cl
0.3022 0.2620 0.1481 Cl
0.3210 0.6755 0.4054 Cl
0.3216 0.3976 0.5463 Cl
0.3324 0.0719 0.6806 Cl
0.3324 0.8160 0.8259 Cl
0.3328 0.5461 0.9533 Cl
0.6672 0.4539 0.0467 Cl
0.6676 0.1840 0.1741 Cl
0.6676 0.9281 0.3194 Cl
0.6784 0.6024 0.4537 Cl
0.6790 0.3245 0.5946 Cl
0.6978 0.7380 0.8519 Cl
0.9872 0.3588 0.0827 Cl
0.9912 0.0843 0.2262 Cl
```

Peak list (6 most intense, 5° ≤ 2θ ≤ 70°, sorted by position)
2θ (°)	d (Å)	intensity
12.28	7.208	46
18.86	4.705	48
24.16	3.683	38
28.65	3.116	46
35.18	2.551	100
36.36	2.471	48

3.
This entry pairs a crystal structure of NdCu2Cl8 with its theoretical X-ray diffraction stick pattern. Radiation: Cu Kα. Structure: the PBE geometry in Alexandria.

Structure:
```
NdCu2Cl8
1.0
-3.3873 3.3873 5.9747
3.3873 -3.3873 5.9747
3.3873 3.3873 -5.9747
Nd Cu Cl
1 2 8
Direct
0.0000 0.0000 0.0000 Nd
0.2500 0.7500 0.5000 Cu
0.7500 0.2500 0.5000 Cu
0.0469 0.5521 0.8383 Cl
0.2086 0.0469 0.4948 Cl
0.2862 0.4479 0.4948 Cl
0.4479 0.9531 0.1617 Cl
0.5521 0.7138 0.5052 Cl
0.7138 0.2086 0.1617 Cl
0.7914 0.2862 0.8383 Cl
0.9531 0.7914 0.5052 Cl
```

Peak list (6 most intense, 5° ≤ 2θ ≤ 70°, sorted by position)
2θ (°)	d (Å)	intensity
15.03	5.893	82
23.81	3.737	100
30.44	2.937	57
37.29	2.411	38
40.25	2.241	59
44.95	2.017	40